No. 1
Starting from DFT lattice parameters and positions (GGA-PBE), the powder diffraction line list of Pr8Ga3I4Br was calculated for CuKα.
Peak positions follow from Bragg's law for the DFT cell and can differ from measured ones.

Crystal structure
Unit cell a=8.8235 b=8.8235 c=23.0926 alpha=90.00 beta=90.00 gamma=120.00
Space group R-3m (No. 166, hexagonal axes)
Unique sites:
Pr 0.0000 0.0000 0.2351 x6
Pr 0.0140 0.5070 0.7648 x18
Ga 0.0000 0.5000 0.5000 x9
I 0.0000 0.0000 0.0000 x3
I 0.0000 0.5000 0.0000 x9
Br 0.0000 0.0000 0.5000 x3

Largest 10 diffraction maxima, in order of falling intensity, 5 to 70 degrees two-theta:
2θ (°)	intensity	(hkl)
28.0	100.0	0 2 4
40.9	38.4	2 2 0
39.1	31.6	2 0 8
50.3	19.2	4 0 4
66.8	15.9	2 4 4
30.4	11.6	2 0 5
57.9	9.7	0 4 8
54.9	9.3	2 2 9
64.2	9.1	2 2 12
57.2	6.1	0 2 13

***

No. 2
Starting from DFT lattice parameters and positions (GGA-PBE), the powder diffraction line list of InGaBr2 was calculated for CuKα.
Peak positions follow from Bragg's law for the DFT cell and can differ from measured ones.

Crystal structure
Unit cell a=6.5290 b=4.4982 c=9.0771 alpha=90.00 beta=110.29 gamma=90.00
Space group P2_1/m (No. 11)
Unique sites:
In 0.1951 0.2500 0.3058 x2
Ga 0.2475 0.2500 0.8116 x2
Br 0.2959 0.7500 0.0657 x2
Br 0.2982 0.7500 0.5838 x2

Largest 10 diffraction maxima, in order of falling intensity, 5 to 70 degrees two-theta:
2θ (°)	intensity	(hkl)
28.9	100.0	0 1 2
35.7	44.0	2 1 -2
29.2	35.1	2 0 0
40.1	20.5	0 2 0
39.7	20.3	1 0 -4
46.7	17.2	2 1 2
50.3	14.9	2 2 0
50.0	14.7	1 0 4
57.7	13.2	1 2 -4
35.5	13.0	2 1 0

***

No. 3
Starting from DFT lattice parameters and positions (GGA-PBE), the powder diffraction line list of InGa6Br12 was calculated for CuKα.
Peak positions follow from Bragg's law for the DFT cell and can differ from measured ones.

Crystal structure
Unit cell a=7.7300 b=8.8399 c=10.8060 alpha=95.32 beta=105.33 gamma=92.74
Space group P-1 (No. 2)
Unique sites:
In 0.0000 0.0000 0.0000 x1
Ga 0.1410 0.9108 0.2315 x2
Ga 0.3415 0.8172 0.7673 x2
Ga 0.3452 0.1081 0.7848 x2
Br 0.0731 0.2681 0.7017 x2
Br 0.1139 0.7256 0.8691 x2
Br 0.2564 0.0893 0.4119 x2
Br 0.3465 0.6263 0.6046 x2
Br 0.3661 0.1857 0.0303 x2
Br 0.3877 0.7292 0.2387 x2

Largest 10 diffraction maxima, in order of falling intensity, 5 to 70 degrees two-theta:
2θ (°)	intensity	(hkl)
10.1	100.0	0 1 0
24.4	49.6	1 -1 2
28.0	43.0	-1 1 3
27.4	42.3	2 1 -2
30.3	37.0	-2 2 1
26.7	29.8	0 1 -3
25.6	24.3	2 1 -1
43.0	21.8	2 -3 2
20.2	20.9	0 2 0
47.0	20.7	2 3 -4

***

No. 4
Starting from DFT lattice parameters and positions (GGA-PBE), the powder diffraction line list of In4GaBr5 was calculated for CuKα.
Peak positions follow from Bragg's law for the DFT cell and can differ from measured ones.

Crystal structure
Unit cell a=10.4496 b=10.4496 c=6.6282 alpha=90.00 beta=90.00 gamma=90.00
Space group I4 (No. 79)
Unique sites:
In 0.0993 0.3002 0.0000 x8
Ga 0.0000 0.0000 0.4902 x2
Br 0.0000 0.0000 0.0225 x2
Br 0.1013 0.2859 0.4990 x8

Largest 10 diffraction maxima, in order of falling intensity, 5 to 70 degrees two-theta:
2θ (°)	intensity	(hkl)
27.0	100.0	0 0 2
38.5	75.7	1 3 2
47.6	26.5	4 2 2
62.9	21.9	2 6 2
69.7	15.9	7 1 2
62.7	11.4	1 3 4
69.5	8.1	4 2 4
55.6	8.1	2 6 0
23.3	4.4	2 1 1
55.5	4.2	0 0 4

***

No. 5
Starting from DFT lattice parameters and positions (GGA-PBE), the powder diffraction line list of PmIn2GaBr6 was calculated for CuKα.
Peak positions follow from Bragg's law for the DFT cell and can differ from measured ones.

Crystal structure
Unit cell a=8.0604 b=8.0604 c=20.6535 alpha=90.00 beta=90.00 gamma=120.00
Space group R3 (No. 146, hexagonal axes)
Unique sites:
Pm 0.0000 0.0000 0.0000 x3
In 0.0000 0.0000 0.3000 x3
In 0.0000 0.0000 0.7941 x3
Ga 0.0000 0.0000 0.5072 x3
Br 0.0031 0.4013 0.7394 x9
Br 0.0735 0.7062 0.5776 x9

Largest 10 diffraction maxima, in order of falling intensity, 5 to 70 degrees two-theta:
2θ (°)	intensity	(hkl)
34.3	100.0	2 -1 6
25.6	83.5	2 -1 3
30.9	65.1	0 2 4
38.7	55.8	3 0 0
21.4	45.0	1 0 4
15.3	43.3	0 1 2
38.3	36.6	3 -1 4
22.1	26.0	1 1 0
60.5	22.8	3 2 4
45.5	19.1	1 1 9

***

No. 6
Starting from DFT lattice parameters and positions (GGA-PBE), the powder diffraction line list of RbInGaBr3 was calculated for CuKα.
Peak positions follow from Bragg's law for the DFT cell and can differ from measured ones.

Crystal structure
Unit cell a=9.5243 b=4.6728 c=11.2870 alpha=90.00 beta=105.08 gamma=90.00
Space group P2_1/m (No. 11)
Unique sites:
Rb 0.1831 0.2500 0.2031 x2
In 0.3253 0.7500 0.8524 x2
Ga 0.1606 0.2500 0.6311 x2
Br 0.0997 0.2500 0.8877 x2
Br 0.1461 0.7500 0.4463 x2
Br 0.4242 0.7500 0.1245 x2

Largest 10 diffraction maxima, in order of falling intensity, 5 to 70 degrees two-theta:
2θ (°)	intensity	(hkl)
26.9	100.0	2 1 -1
27.2	70.3	2 1 0
10.9	60.4	1 0 -1
34.4	54.2	2 1 2
8.1	50.5	0 0 1
38.5	44.2	0 2 0
31.2	38.6	0 1 3
38.9	37.5	2 1 -4
24.5	37.3	0 0 3
38.3	35.9	4 0 -2

***

No. 7
Starting from DFT lattice parameters and positions (GGA-PBE), the powder diffraction line list of KGa3Br8 was calculated for CuKα.
Peak positions follow from Bragg's law for the DFT cell and can differ from measured ones.

Crystal structure
Unit cell a=11.6032 b=7.9198 c=10.3931 alpha=90.00 beta=92.59 gamma=90.00
Space group C2/m (No. 12)
Unique sites:
K 0.0000 0.0000 0.0000 x2
Ga 0.0000 0.0000 0.5000 x2
Ga 0.1130 0.5000 0.2600 x4
Br 0.0100 0.2577 0.7374 x8
Br 0.2073 0.5000 0.0645 x4
Br 0.2310 0.5000 0.4497 x4

Largest 10 diffraction maxima, in order of falling intensity, 5 to 70 degrees two-theta:
2θ (°)	intensity	(hkl)
28.4	100.0	0 2 2
27.3	75.6	2 2 0
15.8	73.8	1 1 -1
22.5	65.3	2 0 -2
43.0	59.7	4 2 2
23.5	53.5	2 0 2
25.7	46.4	3 1 0
41.8	42.5	4 2 -2
45.8	31.3	0 4 0
34.6	31.3	0 0 4

***

No. 8
Starting from DFT lattice parameters and positions (GGA-PBE), the powder diffraction line list of KGaBr4 was calculated for CuKα.
Peak positions follow from Bragg's law for the DFT cell and can differ from measured ones.

Crystal structure
Unit cell a=23.0368 b=23.0368 c=8.9789 alpha=90.00 beta=90.00 gamma=120.00
Space group R3c (No. 161, hexagonal axes)
Unique sites:
K 0.0115 0.2082 0.0000 x18
Ga 0.0081 0.2025 0.5098 x18
Br 0.0336 0.1262 0.3916 x18
Br 0.0524 0.4870 0.3192 x18
Br 0.0721 0.3889 0.9940 x18
Br 0.1911 0.4409 0.3396 x18

Largest 10 diffraction maxima, in order of falling intensity, 5 to 70 degrees two-theta:
2θ (°)	intensity	(hkl)
26.8	100.0	5 1 1
27.9	87.4	2 3 2
15.4	70.0	2 1 1
25.6	31.6	2 4 1
30.0	30.0	5 0 2
18.8	27.3	1 3 1
49.4	23.0	8 3 2
47.8	21.0	5 1 4
32.0	20.1	1 5 2
29.0	19.2	4 3 1